[1]
For PmTm6Sc2, DFT lattice parameters and positions (GGA-PBE) gives the simulated powder diffraction line list in this record (Cu Kα (λ = 1.5418 Å)).

Atomic structure:
Cell lengths 3.4978, 3.4978, 25.2750 Å; angles 90.00, 90.00, 120.00 degrees
Positions (direct):
Pm 0.0000 0.0000 0.0000
Tm 0.0000 0.0000 0.2265
Tm 0.0000 0.0000 0.4335
Tm 0.0000 0.0000 0.5665
Tm 0.0000 0.0000 0.7735
Tm 0.3333 0.6667 0.1156
Tm 0.3333 0.6667 0.8844
Sc 0.3333 0.6667 0.3306
Sc 0.3333 0.6667 0.6694

Main lines, by angle (2θ from 5° to 70°):
2θ/deg	Rel. int.
29.5	63
29.7	19
31.9	46
32.8	82
34.5	100
44.0	36
52.3	40
59.6	23
62.6	40
63.1	19

=====

[2]
For Sm4N3O, DFT lattice parameters and positions (GGA-PBE) gives the simulated powder diffraction line list in this record (Cu Kα (λ = 1.5418 Å)).

Atomic structure:
Cell lengths 5.0434, 5.0434, 5.0434 Å; angles 90.00, 90.00, 90.00 degrees
Positions (direct):
Sm 0.0000 0.0000 0.0000
Sm 0.0000 0.5000 0.5000
Sm 0.5000 0.0000 0.5000
Sm 0.5000 0.5000 0.0000
N 0.0000 0.0000 0.5000
N 0.0000 0.5000 0.0000
N 0.5000 0.0000 0.0000
O 0.5000 0.5000 0.5000

Main lines, by angle (2θ from 5° to 70°):
2θ/deg	Rel. int.
30.7	100
35.6	75
51.2	52
60.9	45
63.9	17

=====

[3]
For Cs3Br2Cl8, DFT lattice parameters and positions (GGA-PBE) gives the simulated powder diffraction line list in this record (Cu Kα (λ = 1.5418 Å)).

Atomic structure:
Cell lengths 11.4764, 11.4764, 11.4764 Å; angles 36.87, 36.87, 36.87 degrees
Positions (direct):
Cs 0.0000 0.0000 0.0000
Cs 0.2017 0.2017 0.2017
Cs 0.7983 0.7983 0.7983
Br 0.3852 0.3852 0.3852
Br 0.6148 0.6148 0.6148
Cl 0.2081 0.7413 0.7413
Cl 0.2587 0.2587 0.7919
Cl 0.2587 0.7919 0.2587
Cl 0.3124 0.3124 0.3124
Cl 0.6876 0.6876 0.6876
Cl 0.7413 0.2081 0.7413
Cl 0.7413 0.7413 0.2081
Cl 0.7919 0.2587 0.2587

Main lines, by angle (2θ from 5° to 70°):
2θ/deg	Rel. int.
19.8	88
24.5	100
28.9	22
31.3	58
31.7	58
40.5	36
47.6	34
49.5	22
50.3	29
60.4	23